Calculated powder X-ray diffraction pattern of Tl2CuTeBr6 for Cu Kα, 1.54184 Å, from DFT lattice parameters and positions (PBE).
Lines closer than 0.1° are merged.

Crystal structure
abc: 7.7783 11.2162 8.4576
angles: 90.00 90.00 90.00
Space group Pmmn (No. 59, origin choice 2)
Inequivalent atoms, fractional coordinates:
Tl  0.2500  0.0136  0.1652 x4
Cu  0.2500  0.2500  0.8348 x2
Te  0.2500  0.7500  0.6874 x2
Br  0.0029  0.2500  0.0585 x4
Br  0.0065  0.7500  0.4736 x4
Br  0.2500  0.0436  0.7937 x4

The 10 most intense peaks (2θ = 10–90°), low angle first:
2theta	d/Å	I (rel.)
10.46	8.458	48.6
18.99	4.674	34.6
22.19	4.006	100.0
26.41	3.375	70.3
27.92	3.196	91.7
31.25	2.863	82.2
31.92	2.804	68.7
42.77	2.114	48.5
45.27	2.003	45.2
46.70	1.945	33.2